[1]
Structure and theoretical X-ray powder pattern of Tb3BiO4 (a cell relaxed with GGA-PBE; a wavelength of 1.5418 Å).
No peak broadening, texture or thermal motion is included.

Atomic structure:
abc: 3.903 3.903 10.253
angles: 90.00 90.00 90.00
Fractional coordinates of all 8 atoms:
Tb 0.000 0.000 0.000
Tb 0.500 0.500 0.230
Tb 0.500 0.500 0.770
Bi 0.000 0.000 0.500
O 0.000 0.500 0.137
O 0.000 0.500 0.863
O 0.500 0.000 0.137
O 0.500 0.000 0.863

Principal peaks in the range 2θ = 5–70°, in order of rising 2θ:
index	d (Å)	2θ (°)	Rel. int.
1 0 2	3.105	28.75	100
1 1 0	2.760	32.44	30
0 0 4	2.563	35.01	11
2 0 0	1.951	46.54	17
1 1 4	1.878	48.47	26
2 1 2	1.652	55.63	32

[2]
Structure and theoretical X-ray powder pattern of TbBi5O9 (a cell relaxed with GGA-PBE; a wavelength of 1.5418 Å).
No peak broadening, texture or thermal motion is included.

Atomic structure:
abc: 3.850 6.942 9.530
angles: 94.92 100.72 91.91
Fractional coordinates of all 15 atoms:
Tb 0.000 0.000 0.000
Bi 0.228 0.419 0.361
Bi 0.364 0.121 0.670
Bi 0.529 0.468 0.025
Bi 0.729 0.887 0.359
Bi 0.868 0.628 0.695
O 0.077 0.314 0.124
O 0.323 0.758 0.468
O 0.384 0.452 0.714
O 0.467 0.159 0.911
O 0.543 0.923 0.133
O 0.642 0.201 0.467
O 0.659 0.555 0.274
O 0.855 0.956 0.742
O 0.987 0.661 0.925

Principal peaks in the range 2θ = 5–70°, in order of rising 2θ:
index	d (Å)	2θ (°)	Rel. int.
0 2 1	3.144	28.39	72
0 0 3	3.107	28.73	100
1 -1 1	3.064	29.15	63
1 1 -2	2.968	30.11	70
0 2 -2	2.908	30.74	46
1 1 1	2.886	30.99	51